Record 1
This entry pairs a crystal structure of LiMn2N3 with its theoretical PXRD pattern. Radiation: CuKα. Structure: a DFT-relaxed cell (GGA-PBE, Alexandria).
Intensities are scaled so that the largest is 100.

Largest 10 diffraction maxima, by angle, 2θ from 10° to 80°:
- 18.81 deg, I = 100
- 25.98 deg, I = 82
- 32.76 deg, I = 26
- 32.88 deg, I = 54
- 36.05 deg, I = 56
- 37.52 deg, I = 42
- 37.64 deg, I = 75
- 49.56 deg, I = 30
- 58.55 deg, I = 30
- 65.84 deg, I = 40

Structural model:
```
data_LiMn2N3
_cell_length_a 5.448
_cell_length_b 5.448
_cell_length_c 4.983
_cell_angle_alpha 90.00
_cell_angle_beta 90.00
_cell_angle_gamma 60.25
_space_group_name_H-M_alt 'P 1'
_space_group_IT_number 1
_space_group_name_Hall 'P 1'
loop_
_atom_site_label
_atom_site_fract_x
_atom_site_fract_y
_atom_site_fract_z
Li1 0.169 0.831 0.500
Li2 0.831 0.169 0.000
Mn1 0.166 0.496 0.989
Mn2 0.496 0.166 0.489
Mn3 0.504 0.834 0.989
Mn4 0.834 0.504 0.489
N1 0.166 0.456 0.624
N2 0.216 0.784 0.061
N3 0.456 0.166 0.124
N4 0.544 0.834 0.624
N5 0.784 0.216 0.561
N6 0.834 0.544 0.124
```

***

Record 2
This entry pairs a crystal structure of Li3MnN2 with its theoretical PXRD pattern. Radiation: CuKα. Structure: a DFT-relaxed cell (GGA-PBE, Alexandria).
Intensities are scaled so that the largest is 100.

Largest 10 diffraction maxima, by angle, 2θ from 10° to 80°:
- 15.15 deg, I = 100
- 25.33 deg, I = 55
- 28.43 deg, I = 25
- 29.64 deg, I = 64
- 34.07 deg, I = 13
- 36.12 deg, I = 17
- 42.93 deg, I = 42
- 52.01 deg, I = 21
- 52.30 deg, I = 22
- 69.65 deg, I = 17

Structural model:
```
data_Li3MnN2
_cell_length_a 7.240
_cell_length_b 7.240
_cell_length_c 7.240
_cell_angle_alpha 121.89
_cell_angle_beta 121.89
_cell_angle_gamma 86.76
_space_group_name_H-M_alt 'P 1'
_space_group_IT_number 1
_space_group_name_Hall 'P 1'
loop_
_atom_site_label
_atom_site_fract_x
_atom_site_fract_y
_atom_site_fract_z
Li1 0.009 0.259 0.750
Li2 0.137 0.387 0.273
Li3 0.137 0.863 0.750
Li4 0.259 0.009 0.250
Li5 0.387 0.137 0.773
Li6 0.387 0.613 0.250
Li7 0.613 0.387 0.750
Li8 0.613 0.863 0.227
Li9 0.741 0.991 0.750
Li10 0.863 0.137 0.250
Li11 0.863 0.613 0.727
Li12 0.991 0.741 0.250
Mn1 0.265 0.515 0.750
Mn2 0.485 0.735 0.750
Mn3 0.515 0.265 0.250
Mn4 0.735 0.485 0.250
N1 0.198 0.232 0.534
N2 0.198 0.665 0.966
N3 0.232 0.198 0.034
N4 0.335 0.802 0.534
N5 0.665 0.198 0.466
N6 0.768 0.802 0.966
N7 0.802 0.335 0.034
N8 0.802 0.768 0.466
```

***

Record 3
This entry pairs a crystal structure of Li7Mn2N3 with its theoretical PXRD pattern. Radiation: CuKα. Structure: a DFT-relaxed cell (GGA-PBE, Alexandria).
Intensities are scaled so that the largest is 100.

Largest 10 diffraction maxima, by angle, 2θ from 10° to 80°:
- 15.84 deg, I = 46
- 27.61 deg, I = 100
- 28.34 deg, I = 24
- 36.47 deg, I = 37
- 47.76 deg, I = 11
- 48.82 deg, I = 31
- 49.28 deg, I = 9
- 56.05 deg, I = 21
- 57.00 deg, I = 10
- 70.69 deg, I = 17

Structural model:
```
data_Li7Mn2N3
_cell_length_a 6.462
_cell_length_b 6.462
_cell_length_c 3.809
_cell_angle_alpha 90.00
_cell_angle_beta 90.00
_cell_angle_gamma 120.00
_space_group_name_H-M_alt 'P 1'
_space_group_IT_number 1
_space_group_name_Hall 'P 1'
loop_
_atom_site_label
_atom_site_fract_x
_atom_site_fract_y
_atom_site_fract_z
Li1 0.000 0.000 0.000
Li2 0.000 0.328 0.500
Li3 0.000 0.672 0.500
Li4 0.328 0.000 0.500
Li5 0.328 0.328 0.500
Li6 0.672 0.000 0.500
Li7 0.672 0.672 0.500
Mn1 0.333 0.667 0.000
Mn2 0.667 0.333 0.000
N1 0.000 0.000 0.500
N2 0.333 0.667 0.500
N3 0.667 0.333 0.500
```